Structure and computed powder X-ray diffraction pattern of Hg2BrF (a PBE-relaxed structure; λ = 1.5418 Å (Cu Kα)).

Atomic structure:
a = 6.256 Å, b = 6.256 Å, c = 6.256 Å
α = 138.64°, β = 138.64°, γ = 59.93°
Fractional coordinates of all 4 atoms:
Hg  0.000  0.000  0.000
Hg  0.240  0.240  0.000
Br  0.478  0.478  0.000
F  0.802  0.802  0.000

The 10 most intense peaks (10° ≤ 2θ ≤ 90°), by angle:
2θ 21.7, I = 84; 2θ 28.6, I = 100; 2θ 33.1, I = 33; 2θ 40.8, I = 39; 2θ 44.2, I = 56; 2θ 46.7, I = 47; 2θ 53.5, I = 32; 2θ 63.7, I = 25; 2θ 67.0, I = 18; 2θ 76.7, I = 32


Structure and computed powder X-ray diffraction pattern of Sr2HfTcSe6 (a PBE-relaxed structure; λ = 1.5418 Å (Cu Kα)).

Atomic structure:
a = 6.958 Å, b = 7.067 Å, c = 7.095 Å
α = 61.03°, β = 62.40°, γ = 61.19°
Fractional coordinates of all 10 atoms:
Sr  0.238  0.246  0.267
Sr  0.762  0.754  0.733
Hf  0.000  0.000  0.000
Tc  0.500  0.500  0.500
Se  0.187  0.321  0.698
Se  0.221  0.805  0.684
Se  0.355  0.751  0.159
Se  0.645  0.249  0.841
Se  0.779  0.195  0.316
Se  0.813  0.679  0.302

The 10 most intense peaks (10° ≤ 2θ ≤ 90°), by angle:
2θ 17.4, I = 46; 2θ 17.6, I = 41; 2θ 25.2, I = 65; 2θ 25.6, I = 42; 2θ 29.9, I = 43; 2θ 35.2, I = 100; 2θ 35.6, I = 89; 2θ 36.2, I = 64; 2θ 43.1, I = 37; 2θ 51.8, I = 40


Structure and computed powder X-ray diffraction pattern of Cu3Ag4 (a PBE-relaxed structure; λ = 1.5418 Å (Cu Kα)).

Atomic structure:
a = 5.715 Å, b = 5.715 Å, c = 7.066 Å
α = 104.39°, β = 104.39°, γ = 28.94°
Fractional coordinates of all 7 atoms:
Cu  0.000  0.000  0.000
Cu  0.300  0.300  0.893
Cu  0.700  0.700  0.107
Ag  0.142  0.142  0.392
Ag  0.410  0.410  0.281
Ag  0.590  0.590  0.719
Ag  0.858  0.858  0.608

The 10 most intense peaks (10° ≤ 2θ ≤ 90°), by angle:
2θ 33.5, I = 11; 2θ 35.9, I = 12; 2θ 38.8, I = 48; 2θ 39.2, I = 48; 2θ 40.5, I = 100; 2θ 43.5, I = 73; 2θ 51.4, I = 21; 2θ 65.4, I = 12; 2θ 69.3, I = 13; 2θ 69.8, I = 14